[1]
Theoretical XRD peak list of Ca6Nd6ScMn11O36 for Cu Kα, 1.54184 Å, from DFT lattice parameters and positions (PBE+U).

```
data_Ca6Nd6ScMn11O36
_cell_length_a 5.460
_cell_length_b 5.516
_cell_length_c 23.168
_cell_angle_alpha 89.99
_cell_angle_beta 89.93
_cell_angle_gamma 89.99
_space_group_name_H-M_alt 'P 1'
_space_group_IT_number 1
loop_
_space_group_symop_operation_xyz
'x,y,z'
loop_
_atom_site_label
_atom_site_type_symbol
_atom_site_fract_x
_atom_site_fract_y
_atom_site_fract_z
Ca1 Ca 0.000 0.000 0.000
Ca2 Ca 0.000 0.000 0.329
Ca3 Ca 0.480 0.499 0.328
Ca4 Ca 0.499 0.416 0.839
Ca5 Ca 0.500 0.417 0.168
Ca6 Ca 0.980 0.918 0.840
Nd1 Nd 0.004 0.997 0.674
Nd2 Nd 0.481 0.500 0.001
Nd3 Nd 0.483 0.499 0.673
Nd4 Nd 0.498 0.418 0.495
Nd5 Nd 0.977 0.921 0.494
Nd6 Nd 0.982 0.917 0.167
Sc1 Sc 0.990 0.459 0.584
Mn1 Mn 0.487 0.958 0.412
Mn2 Mn 0.490 0.960 0.918
Mn3 Mn 0.490 0.961 0.084
Mn4 Mn 0.491 0.958 0.250
Mn5 Mn 0.491 0.959 0.584
Mn6 Mn 0.495 0.958 0.756
Mn7 Mn 0.988 0.457 0.756
Mn8 Mn 0.988 0.458 0.918
Mn9 Mn 0.990 0.457 0.084
Mn10 Mn 0.992 0.457 0.250
Mn11 Mn 0.993 0.460 0.412
O1 O 0.069 0.475 0.496
O2 O 0.071 0.476 0.167
O3 O 0.075 0.485 0.836
O4 O 0.198 0.752 0.402
O5 O 0.202 0.746 0.262
O6 O 0.206 0.743 0.070
O7 O 0.209 0.740 0.934
O8 O 0.212 0.738 0.737
O9 O 0.214 0.753 0.601
O10 O 0.272 0.239 0.737
O11 O 0.274 0.242 0.070
O12 O 0.275 0.242 0.263
O13 O 0.276 0.245 0.932
O14 O 0.282 0.252 0.402
O15 O 0.288 0.237 0.600
O16 O 0.404 0.982 0.837
O17 O 0.407 0.976 0.498
O18 O 0.411 0.978 0.166
O19 O 0.572 0.940 0.001
O20 O 0.574 0.942 0.670
O21 O 0.575 0.932 0.331
O22 O 0.693 0.680 0.568
O23 O 0.698 0.664 0.765
O24 O 0.700 0.671 0.906
O25 O 0.706 0.674 0.098
O26 O 0.710 0.677 0.234
O27 O 0.710 0.679 0.431
O28 O 0.766 0.164 0.567
O29 O 0.769 0.179 0.430
O30 O 0.774 0.174 0.098
O31 O 0.774 0.175 0.905
O32 O 0.777 0.172 0.235
O33 O 0.785 0.163 0.766
O34 O 0.905 0.435 0.332
O35 O 0.912 0.440 0.001
O36 O 0.912 0.441 0.672
```

Principal peaks in the range 2θ from 10° to 90°, low angle first:
2θ = 32.47°, I 234, hkl 0 2 0; 2θ = 32.72°, I 1000, hkl 1 1 -6; 2θ = 32.80°, I 240, hkl 2 0 0; 2θ = 46.82°, I 305, hkl 2 -2 0; 2θ = 47.07°, I 158, hkl 0 0 12; 2θ = 58.08°, I 140, hkl 1 -3 6; 2θ = 58.51°, I 274, hkl 3 1 -6; 2θ = 68.57°, I 137, hkl 2 2 -12

[2]
Theoretical XRD peak list of LiFe4B4O12 for Cu Kα, 1.54184 Å, from DFT lattice parameters and positions (PBE+U).

```
data_LiFe4B4O12
_cell_length_a 5.233
_cell_length_b 9.157
_cell_length_c 10.080
_cell_angle_alpha 89.90
_cell_angle_beta 89.41
_cell_angle_gamma 89.06
_space_group_name_H-M_alt 'P 1'
_space_group_IT_number 1
loop_
_space_group_symop_operation_xyz
'x,y,z'
loop_
_atom_site_label
_atom_site_type_symbol
_atom_site_fract_x
_atom_site_fract_y
_atom_site_fract_z
Li1 Li 0.000 0.000 0.000
Li2 Li 0.323 0.354 0.755
Fe1 Fe 0.337 0.676 0.229
Fe2 Fe 0.340 0.010 0.731
Fe3 Fe 0.488 0.184 0.985
Fe4 Fe 0.500 0.837 0.479
Fe5 Fe 0.814 0.524 0.730
Fe6 Fe 0.835 0.179 0.233
Fe7 Fe 0.986 0.664 0.979
Fe8 Fe 0.999 0.342 0.482
B1 B 0.004 0.676 0.475
B2 B 0.313 0.676 0.730
B3 B 0.333 0.007 0.229
B4 B 0.493 0.844 0.982
B5 B 0.506 0.174 0.483
B6 B 0.836 0.506 0.230
B7 B 0.838 0.181 0.730
B8 B 0.989 0.343 0.975
O1 O 0.070 0.683 0.788
O2 O 0.075 0.021 0.210
O3 O 0.241 0.336 0.946
O4 O 0.259 0.682 0.429
O5 O 0.334 0.736 0.032
O6 O 0.349 0.293 0.485
O7 O 0.369 0.970 0.931
O8 O 0.412 0.807 0.677
O9 O 0.418 0.039 0.531
O10 O 0.444 0.549 0.722
O11 O 0.445 0.878 0.277
O12 O 0.491 0.121 0.192
O13 O 0.575 0.178 0.760
O14 O 0.580 0.526 0.233
O15 O 0.753 0.832 0.985
O16 O 0.760 0.181 0.437
O17 O 0.848 0.795 0.473
O18 O 0.849 0.470 0.944
O19 O 0.863 0.221 0.031
O20 O 0.920 0.544 0.524
O21 O 0.943 0.311 0.682
O22 O 0.952 0.376 0.278
O23 O 0.991 0.062 0.753
O24 O 0.995 0.614 0.178
```

Principal peaks in the range 2θ from 10° to 90°, low angle first:
2θ = 19.40°, I 545, hkl 1 1 0; 2θ = 19.68°, I 945, hkl 1 -1 0; 2θ = 21.33°, I 575, hkl 0 2 -1; 2θ = 21.41°, I 534, hkl 1 1 -1; 2θ = 26.30°, I 748, hkl 0 2 2; 2θ = 34.27°, I 736, hkl 1 -3 0; 2θ = 35.63°, I 1000, hkl 0 0 4; 2θ = 40.37°, I 482, hkl 2 2 1

[3]
Theoretical XRD peak list of MgSn2WO6 for Cu Kα, 1.54184 Å, from DFT lattice parameters and positions (PBE+U).

```
data_MgSn2WO6
_cell_length_a 8.031
_cell_length_b 8.031
_cell_length_c 8.031
_cell_angle_alpha 90.00
_cell_angle_beta 90.00
_cell_angle_gamma 90.00
_space_group_name_H-M_alt 'F m -3 m'
_space_group_IT_number 225
_space_group_name_Hall '-F 4 2 3'
loop_
_atom_site_label
_atom_site_type_symbol
_atom_site_fract_x
_atom_site_fract_y
_atom_site_fract_z
Mg1 Mg 0.000 0.000 0.000
Sn1 Sn 0.250 0.250 0.250
W1 W 0.000 0.000 0.500
O1 O 0.000 0.000 0.257
```

Principal peaks in the range 2θ from 10° to 90°, low angle first:
2θ = 19.14°, I 330, hkl 1 1 1; 2θ = 31.51°, I 1000, hkl 2 2 0; 2θ = 37.13°, I 176, hkl 3 1 1; 2θ = 45.16°, I 317, hkl 4 0 0; 2θ = 49.47°, I 74, hkl 3 3 1; 2θ = 56.11°, I 413, hkl 4 2 2; 2θ = 65.78°, I 198, hkl 4 4 0; 2θ = 74.76°, I 186, hkl 6 2 0